Entry 1:
This entry pairs a crystal structure of LiV8O16 with its theoretical X-ray diffraction stick pattern. Radiation: Cu Kα. Structure: a DFT-relaxed cell (PBE+U, the Materials Project).
Kinematic intensities with the Lorentz-polarization factor, no thermal factor.

Top 6 peaks for 10° ≤ 2θ ≤ 90°, by angle:
| two_theta | Rel. int. |
| --- | --- |
| 16.80 | 100 |
| 34.30 | 9 |
| 38.43 | 22 |
| 39.81 | 9 |
| 49.06 | 18 |
| 50.20 | 9 |

Crystal structure
```
data_LiV8O16
_chemical_formula_sum 'Li1 V8 O16'
_symmetry_space_group_name_H-M 'P 1 m 1'
_symmetry_Int_Tables_number 6
_cell_length_a 5.235
_cell_length_b 10.554
_cell_length_c 5.874
_cell_angle_alpha 90.00
_cell_angle_beta 92.81
_cell_angle_gamma 90.00
loop_
_symmetry_equiv_pos_as_xyz
'x,y,z'
'x,-y,z'
loop_
_atom_site_label
_atom_site_fract_x
_atom_site_fract_y
_atom_site_fract_z
Li1 0.000 0.000 0.000
V1 0.181 0.253 0.762
V2 0.186 0.251 0.263
V3 0.680 0.252 0.017
V4 0.684 0.238 0.516
O1 0.017 0.339 0.523
O2 0.019 0.342 0.025
O3 0.338 0.154 0.012
O4 0.340 0.156 0.511
O5 0.521 0.337 0.772
O6 0.522 0.337 0.272
O7 0.853 0.151 0.250
O8 0.856 0.151 0.772
```

***

Entry 2:
This entry pairs a crystal structure of Na3Mn2P2C2O14 with its theoretical X-ray diffraction stick pattern. Radiation: Cu Kα. Structure: a DFT-relaxed cell (PBE+U, the Materials Project).
Kinematic intensities with the Lorentz-polarization factor, no thermal factor.

Top 6 peaks for 10° ≤ 2θ ≤ 90°, by angle:
| two_theta | Rel. int. |
| --- | --- |
| 16.67 | 100 |
| 25.76 | 73 |
| 27.07 | 91 |
| 33.69 | 54 |
| 33.99 | 38 |
| 34.42 | 53 |

Crystal structure
```
data_Na3Mn2P2C2O14
_chemical_formula_sum 'Na6 Mn4 P4 C4 O28'
_symmetry_space_group_name_H-M 'P 1'
_symmetry_Int_Tables_number 1
_cell_length_a 8.374
_cell_length_b 8.428
_cell_length_c 9.011
_cell_angle_alpha 91.05
_cell_angle_beta 91.07
_cell_angle_gamma 103.29
loop_
_symmetry_equiv_pos_as_xyz
'x,y,z'
loop_
_atom_site_label
_atom_site_fract_x
_atom_site_fract_y
_atom_site_fract_z
Na1 0.000 0.000 0.000
Na2 0.003 0.504 0.516
Na3 0.271 0.224 0.513
Na4 0.279 0.732 0.003
Na5 0.758 0.750 0.524
Na6 0.767 0.258 0.993
Mn1 0.367 0.112 0.111
Mn2 0.401 0.645 0.407
Mn3 0.856 0.611 0.100
Mn4 0.896 0.146 0.414
P1 0.117 0.853 0.332
P2 0.154 0.386 0.186
P3 0.617 0.366 0.329
P4 0.648 0.902 0.184
C1 0.376 0.612 0.676
C2 0.392 0.133 0.842
C3 0.875 0.117 0.681
C4 0.897 0.634 0.834
O1 0.030 0.440 0.084
O2 0.061 0.981 0.429
O3 0.081 0.317 0.335
O4 0.192 0.927 0.184
O5 0.213 0.249 0.097
O6 0.241 0.783 0.425
O7 0.279 0.023 0.908
O8 0.281 0.515 0.574
O9 0.300 0.536 0.225
O10 0.358 0.597 0.811
O11 0.406 0.146 0.707
O12 0.466 0.220 0.292
O13 0.486 0.724 0.612
O14 0.488 0.228 0.942
O15 0.511 0.962 0.095
O16 0.556 0.498 0.424
O17 0.578 0.817 0.328
O18 0.690 0.432 0.181
O19 0.717 0.793 0.079
O20 0.743 0.314 0.430
O21 0.779 0.021 0.585
O22 0.784 0.523 0.896
O23 0.790 0.053 0.226
O24 0.867 0.107 0.818
O25 0.912 0.650 0.697
O26 0.966 0.710 0.290
O27 0.986 0.231 0.614
O28 0.993 0.729 0.934
```

***

Entry 3:
This entry pairs a crystal structure of Li2VP2O7 with its theoretical X-ray diffraction stick pattern. Radiation: Cu Kα. Structure: a DFT-relaxed cell (PBE+U, the Materials Project).
Kinematic intensities with the Lorentz-polarization factor, no thermal factor.

Top 6 peaks for 10° ≤ 2θ ≤ 90°, by angle:
| two_theta | Rel. int. |
| --- | --- |
| 17.06 | 100 |
| 22.30 | 35 |
| 22.42 | 39 |
| 24.07 | 40 |
| 30.84 | 33 |
| 31.59 | 33 |

Crystal structure
```
data_Li2VP2O7
_chemical_formula_sum 'Li8 V4 P8 O28'
_symmetry_space_group_name_H-M 'P 1 21/c 1'
_symmetry_Int_Tables_number 14
_cell_length_a 5.161
_cell_length_b 13.715
_cell_length_c 9.371
_cell_angle_alpha 90.00
_cell_angle_beta 121.72
_cell_angle_gamma 90.00
loop_
_symmetry_equiv_pos_as_xyz
'x,y,z'
'-x,-y,-z'
'-x,y+1/2,-z+1/2'
'x,-y+1/2,z+1/2'
loop_
_atom_site_label
_atom_site_fract_x
_atom_site_fract_y
_atom_site_fract_z
Li1 0.044 0.103 0.362
Li2 0.432 0.196 0.167
V1 0.027 0.160 0.734
P1 0.260 0.677 0.531
P2 0.477 0.526 0.775
O1 0.017 0.190 0.148
O2 0.206 0.729 0.660
O3 0.226 0.528 0.817
O4 0.272 0.103 0.623
O5 0.300 0.563 0.576
O6 0.396 0.573 0.224
O7 0.443 0.211 0.955
```